(1)
Structure and simulated powder diffractogram of Li4Ca11In9 (a DFT-relaxed cell (PBE, Alexandria); Cu Kα, 1.54184 Å).

Cell lengths 15.1472, 22.7837, 3.8482 Å; angles 90.00, 90.00, 90.00 degrees
Space group Cmmm (No. 65)
Asymmetric unit:
Li  0.1466  0.0964  0.0000 x8
Ca  0.0000  0.1380  0.5000 x4
Ca  0.0000  0.3370  0.5000 x4
Ca  0.0000  0.5000  0.5000 x2
Ca  0.2160  0.0000  0.5000 x4
Ca  0.2345  0.3253  0.5000 x8
In  0.0000  0.0000  0.0000 x2
In  0.1051  0.2333  0.0000 x8
In  0.1456  0.4270  0.0000 x8

Most intense lines, 2θ from 5° to 70°, by angle:
d 12.614, rel. 16, (1 1 0); d 4.929, rel. 29, (3 1 0); d 4.364, rel. 18, (1 5 0); d 3.848, rel. 17, (0 0 1); d 3.033, rel. 30, (3 1 1); d 2.886, rel. 31, (1 5 1); d 2.701, rel. 100, (4 0 1); d 2.681, rel. 56, (4 6 0); d 1.924, rel. 19, (0 0 2); d 1.563, rel. 27, (4 6 2)

(2)
Structure and simulated powder diffractogram of LiCaIn (a DFT-relaxed cell (PBE, Alexandria); Cu Kα, 1.54184 Å).

Cell lengths 9.3199, 13.0071, 7.5477 Å; angles 90.00, 90.00, 90.00 degrees
Space group Ima2 (No. 46)
Asymmetric unit:
Li  0.0000  0.1667  0.0000 x8
Li  0.2500  0.0004  0.5013 x4
Ca  0.2500  0.0000  0.9131 x4
Ca  0.2500  0.2063  0.2934 x4
Ca  0.2500  0.7060  0.7940 x4
In  0.0000  0.0000  0.2608 x4
In  0.9998  0.1204  0.6206 x8

Most intense lines, 2θ from 5° to 70°, by angle:
d 6.520, rel. 36, (0 1 1); d 4.660, rel. 29, (2 0 0); d 3.791, rel. 48, (2 1 1); d 3.764, rel. 39, (0 3 1); d 2.928, rel. 100, (2 3 1); d 2.671, rel. 36, (2 2 2); d 2.470, rel. 25, (0 1 3); d 2.461, rel. 50, (0 4 2); d 2.180, rel. 32, (2 4 2); d 1.694, rel. 31, (4 4 2)

(3)
Structure and simulated powder diffractogram of LiCa4In (a DFT-relaxed cell (PBE, Alexandria); Cu Kα, 1.54184 Å).

Cell lengths 7.7471, 7.7474, 7.6791 Å; angles 90.00, 90.11, 90.00 degrees
Space group Cm (No. 8)
Asymmetric unit:
Li  0.0000  0.0000  0.0000 x2
Ca  0.2498  0.2501  0.2626 x4
Ca  0.2503  0.2496  0.7368 x4
In  0.0002  0.5000  0.4995 x2

Most intense lines, 2θ from 5° to 70°, by angle:
d 7.679, rel. 56, (0 0 1); d 5.478, rel. 42, (1 1 0); d 4.460, rel. 63, (1 1 1); d 3.458, rel. 21, (2 0 1); d 3.144, rel. 22, (1 1 2); d 2.739, rel. 51, (2 2 0); d 2.727, rel. 100, (2 0 2); d 2.334, rel. 23, (1 3 -1); d 1.937, rel. 18, (4 0 0); d 1.579, rel. 34, (4 2 2)

(4)
Structure and simulated powder diffractogram of Li2Ca3In2 (a DFT-relaxed cell (PBE, Alexandria); Cu Kα, 1.54184 Å).

Cell lengths 3.8050, 5.1025, 20.5034 Å; angles 90.00, 90.00, 90.00 degrees
Space group Immm (No. 71)
Asymmetric unit:
Li  0.0000  0.0000  0.0698 x4
Ca  0.0000  0.0000  0.5000 x2
Ca  0.0000  0.5000  0.3037 x4
In  0.0000  0.5000  0.1373 x4

Most intense lines, 2θ from 5° to 70°, by angle:
d 5.126, rel. 57, (0 0 4); d 4.951, rel. 100, (0 1 1); d 3.325, rel. 42, (1 0 3); d 3.050, rel. 87, (1 1 0); d 2.924, rel. 51, (1 1 2); d 2.789, rel. 49, (1 0 5); d 2.621, rel. 97, (1 1 4); d 2.551, rel. 52, (0 2 0); d 2.540, rel. 85, (0 1 7); d 1.523, rel. 33, (2 1 7)

(5)
Structure and simulated powder diffractogram of LiCaIn6 (a DFT-relaxed cell (PBE, Alexandria); Cu Kα, 1.54184 Å).

Cell lengths 6.6139, 6.6139, 5.3517 Å; angles 90.00, 90.00, 120.00 degrees
Space group P-6m2 (No. 187)
Asymmetric unit:
Li  0.0000  0.0000  0.0000 x1
Ca  0.6667  0.3333  0.5000 x1
In  0.0074  0.5037  0.0000 x3
In  0.1621  0.3241  0.5000 x3

Most intense lines, 2θ from 5° to 70°, by angle:
d 3.910, rel. 21, (1 0 1); d 3.307, rel. 8, (1 1 0); d 2.864, rel. 24, (2 0 0); d 2.676, rel. 26, (0 0 2); d 2.525, rel. 100, (2 0 1); d 1.955, rel. 15, (2 0 2); d 1.653, rel. 17, (2 2 0); d 1.514, rel. 20, (2 0 3); d 1.407, rel. 20, (2 2 2); d 1.383, rel. 14, (4 0 1)

(6)
Structure and simulated powder diffractogram of Li2Ca2NdIn2 (a DFT-relaxed cell (PBE, Alexandria); Cu Kα, 1.54184 Å).

Cell lengths 5.0406, 5.0406, 26.9908 Å; angles 90.00, 90.00, 120.00 degrees
Space group R-3m (No. 166, hexagonal axes)
Asymmetric unit:
Li  0.0000  0.0000  0.1075 x6
Ca  0.0000  0.0000  0.3729 x6
Nd  0.0000  0.0000  0.5000 x3
In  0.0000  0.0000  0.2331 x6

Most intense lines, 2θ from 5° to 70°, by angle:
d 8.997, rel. 74, (0 0 3); d 4.309, rel. 53, (1 0 1); d 3.665, rel. 82, (1 0 4); d 2.890, rel. 89, (1 0 7); d 2.669, rel. 80, (0 1 8); d 2.520, rel. 100, (1 1 0); d 1.899, rel. 26, (0 2 7); d 1.833, rel. 25, (2 0 8); d 1.482, rel. 25, (1 2 8); d 1.464, rel. 33, (1 1 15)

(7)
Structure and simulated powder diffractogram of LiCa2In5Rh2 (a DFT-relaxed cell (PBE, Alexandria); Cu Kα, 1.54184 Å).

Cell lengths 10.4973, 10.4973, 4.0563 Å; angles 90.00, 90.00, 90.00 degrees
Space group P4/mbm (No. 127)
Asymmetric unit:
Li  0.0000  0.0000  0.0000 x2
Ca  0.1777  0.3223  0.0000 x4
In  0.0000  0.5000  0.5000 x2
In  0.0630  0.7976  0.5000 x8
Rh  0.1226  0.6226  0.0000 x4

Most intense lines, 2θ from 5° to 70°, by angle:
d 7.423, rel. 25, (1 1 0); d 4.695, rel. 54, (2 1 0); d 4.056, rel. 20, (0 0 1); d 2.569, rel. 100, (3 1 1); d 2.546, rel. 46, (4 1 0); d 2.474, rel. 25, (3 3 0); d 2.365, rel. 76, (3 2 1); d 2.203, rel. 36, (4 0 1); d 2.029, rel. 38, (0 0 2); d 1.587, rel. 28, (4 1 2)

(8)
Structure and simulated powder diffractogram of LiCaInRu (a DFT-relaxed cell (PBE, Alexandria); Cu Kα, 1.54184 Å).

Cell lengths 6.7523, 6.7523, 6.7523 Å; angles 90.00, 90.00, 90.00 degrees
Space group F-43m (No. 216)
Asymmetric unit:
Li  0.0000  0.0000  0.0000 x4
Ca  0.2500  0.2500  0.2500 x4
In  0.2500  0.2500  0.7500 x4
Ru  0.0000  0.0000  0.5000 x4

Most intense lines, 2θ from 5° to 70°, by angle:
d 3.898, rel. 52, (1 1 1); d 3.376, rel. 5, (2 0 0); d 2.387, rel. 100, (2 2 0); d 2.036, rel. 27, (3 1 1); d 1.949, rel. 1, (2 2 2); d 1.688, rel. 17, (4 0 0); d 1.549, rel. 11, (3 3 1); d 1.510, rel. 1, (4 2 0); d 1.378, rel. 33, (4 2 2)

(9)
Structure and simulated powder diffractogram of LiCaTl2In (a DFT-relaxed cell (PBE, Alexandria); Cu Kα, 1.54184 Å).

Cell lengths 5.9185, 6.6582, 6.7320 Å; angles 90.00, 90.00, 90.00 degrees
Space group Pmma (No. 51)
Asymmetric unit:
Li  0.0000  0.0000  0.0000 x2
Ca  0.2500  0.5000  0.2154 x2
Tl  0.2500  0.2596  0.7298 x4
In  0.2500  0.0000  0.3546 x2

Most intense lines, 2θ from 5° to 70°, by angle:
d 4.445, rel. 43, (1 0 1); d 3.366, rel. 34, (0 0 2); d 2.959, rel. 37, (2 0 0); d 2.665, rel. 100, (1 2 1); d 2.367, rel. 13, (0 2 2); d 2.222, rel. 24, (2 0 2); d 2.098, rel. 14, (1 0 3); d 1.848, rel. 12, (2 2 2); d 1.775, rel. 15, (1 2 3); d 1.646, rel. 24, (3 2 1)

(10)
Structure and simulated powder diffractogram of Ca3MgIn (a DFT-relaxed cell (PBE, Alexandria); Cu Kα, 1.54184 Å).

Cell lengths 5.4926, 21.0973, 5.4942 Å; angles 90.00, 90.00, 90.00 degrees
Space group Cmcm (No. 63)
Asymmetric unit:
Ca  0.0000  0.0669  0.2500 x4
Ca  0.0000  0.2501  0.2500 x4
Ca  0.0000  0.4326  0.2500 x4
Mg  0.0000  0.1574  0.7500 x4
In  0.0000  0.3421  0.7500 x4

Most intense lines, 2θ from 5° to 70°, by angle:
d 10.549, rel. 14, (0 2 0); d 4.873, rel. 20, (0 2 1); d 4.329, rel. 18, (1 3 0); d 3.811, rel. 13, (0 4 1); d 2.858, rel. 100, (1 5 1); d 2.747, rel. 51, (2 0 0); d 2.380, rel. 16, (1 7 1); d 1.942, rel. 17, (2 0 2); d 1.673, rel. 13, (2 10 0); d 1.606, rel. 32, (3 5 1)

(11)
Structure and simulated powder diffractogram of Ca2MgIn6 (a DFT-relaxed cell (PBE, Alexandria); Cu Kα, 1.54184 Å).

Cell lengths 8.8808, 8.8808, 3.4812 Å; angles 90.00, 90.00, 120.00 degrees
Space group P6/mmm (No. 191)
Asymmetric unit:
Ca  0.3333  0.6667  0.0000 x2
Mg  0.0000  0.0000  0.0000 x1
In  0.0000  0.3297  0.5000 x6

Most intense lines, 2θ from 5° to 70°, by angle:
d 4.440, rel. 35, (1 1 0); d 3.481, rel. 40, (0 0 1); d 2.740, rel. 78, (1 1 1); d 2.564, rel. 100, (3 0 0); d 2.064, rel. 56, (3 0 1); d 1.872, rel. 24, (2 2 1); d 1.512, rel. 24, (4 1 1); d 1.480, rel. 17, (3 3 0); d 1.440, rel. 31, (3 0 2); d 1.362, rel. 14, (3 3 1)

(12)
Structure and simulated powder diffractogram of Ca2Mg2In (a DFT-relaxed cell (PBE, Alexandria); Cu Kα, 1.54184 Å).

Cell lengths 7.6589, 7.6589, 5.1087 Å; angles 90.00, 90.00, 90.00 degrees
Space group P4/mbm (No. 127)
Asymmetric unit:
Ca  0.1760  0.3240  0.0000 x4
Mg  0.1333  0.6333  0.5000 x4
In  0.0000  0.0000  0.5000 x2

Most intense lines, 2θ from 5° to 70°, by angle:
d 5.416, rel. 42, (1 1 0); d 5.109, rel. 22, (0 0 1); d 3.716, rel. 76, (1 1 1); d 3.064, rel. 100, (2 0 1); d 2.845, rel. 61, (2 1 1); d 2.708, rel. 30, (2 2 0); d 2.554, rel. 37, (0 0 2); d 2.422, rel. 65, (3 1 0); d 2.188, rel. 34, (3 1 1); d 1.758, rel. 47, (3 1 2)

- What is the formula in the twelfth record?
  Ca2Mg2In